No. 1
This entry pairs a crystal structure of YHo6Tm8 with its computed powder diffraction line list. Radiation: Cu Kα (weighted mean of Kα1 and Kα2). Structure: a structure optimized by DFT (PBE).
Intensities are scaled so that the largest is 100.

Top 10 peaks for 5° ≤ 2θ ≤ 70°, in order of rising 2θ:
hkl, d/Å, Position (°2θ), Rel. int.
0 2 4, 3.081, 28.98, 8
2 1 1, 2.894, 30.90, 18
1 2 2, 2.808, 31.87, 100
1 0 7, 2.725, 32.86, 29
2 -1 6, 2.704, 33.13, 8
3 -1 4, 2.536, 35.40, 12
0 3 3, 2.410, 37.30, 15
0 3 9, 1.701, 53.89, 14
4 1 3, 1.638, 56.15, 8
3 2 7, 1.515, 61.16, 13

Crystal structure
```
data_YHo6Tm8
_cell_length_a 8.9307
_cell_length_b 8.9307
_cell_length_c 20.3854
_cell_angle_alpha 90.00
_cell_angle_beta 90.00
_cell_angle_gamma 120.00
_space_group_name_H-M_alt 'R -3'
_space_group_IT_number 148
_space_group_name_Hall '-R 3'
loop_
_atom_site_label
_atom_site_type_symbol
_atom_site_fract_x
_atom_site_fract_y
_atom_site_fract_z
Y1 Y 0.0000 0.0000 0.0000
Ho1 Ho 0.0712 0.8227 0.7082
Tm1 Tm 0.0000 0.0000 0.4237
Tm2 Tm 0.0814 0.5311 0.8094
```

---

No. 2
This entry pairs a crystal structure of Y3Ho4Tm5 with its computed powder diffraction line list. Radiation: Cu Kα (weighted mean of Kα1 and Kα2). Structure: a structure optimized by DFT (PBE).
Intensities are scaled so that the largest is 100.

Top 10 peaks for 5° ≤ 2θ ≤ 70°, in order of rising 2θ:
hkl, d/Å, Position (°2θ), Rel. int.
1 0 0, 6.096, 14.53, 1
0 1 -1, 5.453, 16.26, 2
1 2 1, 2.874, 31.11, 100
2 0 2, 2.489, 36.08, 50
3 2 0, 1.761, 51.93, 30
2 0 -4, 1.758, 52.02, 6
4 0 1, 1.502, 61.78, 32
3 2 -3, 1.500, 61.86, 11
2 4 2, 1.438, 64.82, 6
0 0 6, 1.436, 64.93, 6

Crystal structure
```
data_Y3Ho4Tm5
_cell_length_a 6.096
_cell_length_b 7.049
_cell_length_c 8.616
_cell_angle_alpha 89.93
_cell_angle_beta 89.93
_cell_angle_gamma 89.97
_space_group_name_H-M_alt 'P -1'
_space_group_IT_number 2
_space_group_name_Hall '-P 1'
loop_
_atom_site_label
_atom_site_type_symbol
_atom_site_fract_x
_atom_site_fract_y
_atom_site_fract_z
Y1 Y 0.000 0.000 0.000
Y2 Y 0.167 0.250 0.334
Ho1 Ho 0.168 0.750 0.333
Ho2 Ho 0.333 0.499 0.669
Tm1 Tm 0.000 0.500 0.000
Tm2 Tm 0.335 0.000 0.668
Tm3 Tm 0.499 0.749 0.000
```

---

No. 3
This entry pairs a crystal structure of Y2Ho9Tm3 with its computed powder diffraction line list. Radiation: Cu Kα (weighted mean of Kα1 and Kα2). Structure: a structure optimized by DFT (PBE).
Intensities are scaled so that the largest is 100.

Top 10 peaks for 5° ≤ 2θ ≤ 70°, in order of rising 2θ:
hkl, d/Å, Position (°2θ), Rel. int.
5 1 -1, 2.838, 31.52, 15
3 1 -3, 2.784, 32.16, 100
0 2 0, 2.760, 32.44, 78
5 1 0, 2.740, 32.69, 47
3 1 2, 2.720, 32.93, 64
1 1 3, 2.633, 34.05, 17
6 2 -1, 1.951, 46.56, 13
2 2 3, 1.938, 46.87, 22
3 3 -3, 1.599, 57.67, 19
5 3 0, 1.589, 58.03, 20

Crystal structure
```
data_Y2Ho9Tm3
_cell_length_a 16.546
_cell_length_b 5.523
_cell_length_c 10.178
_cell_angle_alpha 90.00
_cell_angle_beta 107.55
_cell_angle_gamma 90.00
_space_group_name_H-M_alt 'C 1 m 1'
_space_group_IT_number 8
_space_group_name_Hall 'C -2y'
loop_
_atom_site_label
_atom_site_type_symbol
_atom_site_fract_x
_atom_site_fract_y
_atom_site_fract_z
Y1 Y 0.000 0.000 0.000
Y2 Y 0.033 0.000 0.383
Ho1 Ho 0.118 0.500 0.568
Ho2 Ho 0.130 0.500 0.956
Ho3 Ho 0.137 0.000 0.784
Ho4 Ho 0.208 0.000 0.188
Ho5 Ho 0.293 0.500 0.794
Ho6 Ho 0.315 0.500 0.456
Ho7 Ho 0.368 0.000 0.988
Ho8 Ho 0.411 0.000 0.351
Ho9 Ho 0.449 0.000 0.709
Tm1 Tm 0.082 0.500 0.232
Tm2 Tm 0.244 0.000 0.561
Tm3 Tm 0.335 0.500 0.144
```

---

No. 4
This entry pairs a crystal structure of Y7HoTm4 with its computed powder diffraction line list. Radiation: Cu Kα (weighted mean of Kα1 and Kα2). Structure: a structure optimized by DFT (PBE).
Intensities are scaled so that the largest is 100.

Top 10 peaks for 5° ≤ 2θ ≤ 70°, in order of rising 2θ:
hkl, d/Å, Position (°2θ), Rel. int.
2 0 -1, 5.041, 17.59, 20
6 0 0, 3.108, 28.72, 14
0 0 2, 2.983, 29.96, 28
2 2 1, 2.847, 31.42, 100
4 2 0, 2.776, 32.24, 58
6 0 -1, 2.764, 32.38, 25
6 0 1, 2.749, 32.58, 33
1 1 2, 2.709, 33.06, 19
4 0 -2, 2.521, 35.62, 16
4 0 2, 2.503, 35.88, 14

Crystal structure
```
data_Y7HoTm4
_cell_length_a 18.651
_cell_length_b 6.911
_cell_length_c 5.965
_cell_angle_alpha 90.00
_cell_angle_beta 90.40
_cell_angle_gamma 90.00
_space_group_name_H-M_alt 'C 1 2/m 1'
_space_group_IT_number 12
_space_group_name_Hall '-C 2y'
loop_
_atom_site_label
_atom_site_type_symbol
_atom_site_fract_x
_atom_site_fract_y
_atom_site_fract_z
Y1 Y 0.000 0.000 0.000
Y2 Y 0.039 0.500 0.251
Y3 Y 0.187 0.000 0.251
Y4 Y 0.214 0.500 0.247
Ho1 Ho 0.000 0.000 0.500
Tm1 Tm 0.136 0.270 0.747
```

---

No. 5
This entry pairs a crystal structure of Y4HoTm3 with its computed powder diffraction line list. Radiation: Cu Kα (weighted mean of Kα1 and Kα2). Structure: a structure optimized by DFT (PBE).
Intensities are scaled so that the largest is 100.

Top 10 peaks for 5° ≤ 2θ ≤ 70°, in order of rising 2θ:
hkl, d/Å, Position (°2θ), Rel. int.
0 1 0, 7.237, 12.23, 10
0 2 1, 3.130, 28.52, 24
4 0 0, 2.796, 32.01, 24
2 0 2, 2.731, 32.80, 100
4 2 1, 2.085, 43.40, 17
0 2 3, 1.806, 50.55, 13
6 0 2, 1.601, 57.56, 20
4 4 0, 1.519, 61.00, 7
4 2 3, 1.517, 61.10, 15
2 4 2, 1.508, 61.50, 11

Crystal structure
```
data_Y4HoTm3
_cell_length_a 11.182
_cell_length_b 7.237
_cell_length_c 6.250
_cell_angle_alpha 90.00
_cell_angle_beta 90.00
_cell_angle_gamma 90.00
_space_group_name_H-M_alt 'P m n 21'
_space_group_IT_number 31
_space_group_name_Hall 'P 2ac -2'
loop_
_atom_site_label
_atom_site_type_symbol
_atom_site_fract_x
_atom_site_fract_y
_atom_site_fract_z
Y1 Y 0.000 0.127 0.000
Y2 Y 0.000 0.872 0.501
Y3 Y 0.249 0.127 0.338
Ho1 Ho 0.000 0.623 0.005
Tm1 Tm 0.000 0.378 0.504
Tm2 Tm 0.250 0.377 0.835
```

---

No. 6
This entry pairs a crystal structure of Y2Ho3Tm6Zr with its computed powder diffraction line list. Radiation: Cu Kα (weighted mean of Kα1 and Kα2). Structure: a structure optimized by DFT (PBE).
Intensities are scaled so that the largest is 100.

Top 10 peaks for 5° ≤ 2θ ≤ 70°, in order of rising 2θ:
hkl, d/Å, Position (°2θ), Rel. int.
0 0 1, 11.346, 7.79, 6
1 3 1, 2.842, 31.48, 100
2 0 2, 2.461, 36.51, 50
0 6 0, 1.742, 52.55, 18
1 3 5, 1.739, 52.64, 18
4 0 0, 1.486, 62.52, 10
2 6 -2, 1.484, 62.60, 24
1 3 -7, 1.482, 62.70, 7
4 0 -4, 1.422, 65.64, 3
2 6 2, 1.421, 65.70, 6

Crystal structure
```
data_Y2Ho3Tm6Zr
_cell_length_a 6.038
_cell_length_b 10.441
_cell_length_c 11.522
_cell_angle_alpha 90.00
_cell_angle_beta 100.01
_cell_angle_gamma 90.00
_space_group_name_H-M_alt 'C 1 2/m 1'
_space_group_IT_number 12
_space_group_name_Hall '-C 2y'
loop_
_atom_site_label
_atom_site_type_symbol
_atom_site_fract_x
_atom_site_fract_y
_atom_site_fract_z
Y1 Y 0.000 0.167 0.000
Ho1 Ho 0.000 0.000 0.500
Ho2 Ho 0.000 0.333 0.500
Tm1 Tm 0.244 0.500 0.754
Tm2 Tm 0.245 0.337 0.246
Zr1 Zr 0.000 0.500 0.000
```

---

No. 7
This entry pairs a crystal structure of HoTm4Zn5 with its computed powder diffraction line list. Radiation: Cu Kα (weighted mean of Kα1 and Kα2). Structure: a structure optimized by DFT (PBE).
Intensities are scaled so that the largest is 100.

Top 6 peaks for 5° ≤ 2θ ≤ 70°, in order of rising 2θ:
hkl, d/Å, Position (°2θ), Rel. int.
1 0 0, 3.528, 25.24, 20
1 1 0, 2.495, 36.00, 100
1 1 5, 2.037, 44.47, 6
2 0 0, 1.764, 51.82, 18
1 0 10, 1.578, 58.49, 8
2 1 5, 1.440, 64.71, 35

Crystal structure
```
data_HoTm4Zn5
_cell_length_a 3.526
_cell_length_b 3.526
_cell_length_c 17.661
_cell_angle_alpha 90.00
_cell_angle_beta 90.00
_cell_angle_gamma 90.00
_space_group_name_H-M_alt 'P 4/m m m'
_space_group_IT_number 123
_space_group_name_Hall '-P 4 2'
loop_
_atom_site_label
_atom_site_type_symbol
_atom_site_fract_x
_atom_site_fract_y
_atom_site_fract_z
Ho1 Ho 0.000 0.000 0.000
Tm1 Tm 0.000 0.000 0.201
Tm2 Tm 0.000 0.000 0.400
Zn1 Zn 0.500 0.500 0.102
Zn2 Zn 0.500 0.500 0.301
Zn3 Zn 0.500 0.500 0.500
```

---

No. 8
This entry pairs a crystal structure of Ho2Tm2Zn3 with its computed powder diffraction line list. Radiation: Cu Kα (weighted mean of Kα1 and Kα2). Structure: a structure optimized by DFT (PBE).
Intensities are scaled so that the largest is 100.

Top 10 peaks for 5° ≤ 2θ ≤ 70°, in order of rising 2θ:
hkl, d/Å, Position (°2θ), Rel. int.
1 1 1, 3.492, 25.51, 64
0 2 0, 2.475, 36.29, 100
2 0 2, 2.463, 36.48, 97
4 0 0, 2.019, 44.88, 14
2 2 2, 1.747, 52.36, 23
3 1 -5, 1.558, 59.30, 13
3 3 -1, 1.430, 65.22, 12
6 0 -2, 1.428, 65.36, 18
5 1 1, 1.426, 65.46, 23
1 1 5, 1.420, 65.79, 16

Crystal structure
```
data_Ho2Tm2Zn3
_cell_length_a 8.560
_cell_length_b 4.959
_cell_length_c 8.513
_cell_angle_alpha 90.00
_cell_angle_beta 109.53
_cell_angle_gamma 90.00
_space_group_name_H-M_alt 'C 1 2/m 1'
_space_group_IT_number 12
_space_group_name_Hall '-C 2y'
loop_
_atom_site_label
_atom_site_type_symbol
_atom_site_fract_x
_atom_site_fract_y
_atom_site_fract_z
Ho1 Ho 0.127 0.000 0.381
Tm1 Tm 0.122 0.500 0.866
Zn1 Zn 0.000 0.000 0.000
Zn2 Zn 0.248 0.500 0.242
```